# Th3S
Theoretical PXRD pattern, λ = 1.5418 Å (Cu Kα). Input: a DFT-relaxed cell (PBE, the Materials Project).

Structure:
```
data_Th3S
_space_group_name_H-M_alt 'P 1'
_space_group_IT_number 1
_cell_length_a 4.668
_cell_length_b 4.668
_cell_length_c 9.946
_cell_angle_alpha 90.00
_cell_angle_beta 90.00
_cell_angle_gamma 90.00
loop_
_space_group_symop_operation_xyz
'x,y,z'
loop_
_atom_site_label
_atom_site_fract_x
_atom_site_fract_y
_atom_site_fract_z
Th1 0.000 0.000 0.000
Th2 0.000 0.500 0.250
Th3 0.000 0.500 0.750
Th4 0.500 0.000 0.250
Th5 0.500 0.000 0.750
Th6 0.500 0.500 0.500
S1 0.000 0.000 0.500
S2 0.500 0.500 0.000
```

Principal peaks in the range 10° ≤ 2θ ≤ 90°, in order of rising 2θ:
- 21.0°, d 4.226, intensity 21, (1 0 1)
- 32.6°, d 2.750, intensity 100, (1 1 2)
- 36.1°, d 2.486, intensity 19, (0 0 4)
- 38.6°, d 2.334, intensity 32, (2 0 0)
- 53.9°, d 1.702, intensity 25, (2 0 4)
- 62.7°, d 1.481, intensity 16, (1 1 6)
- 66.0°, d 1.415, intensity 27, (3 1 2)
- 88.7°, d 1.102, intensity 13, (3 1 6)